# Rb3TbU2S6
Computed PXRD pattern, Cu Kα, 1.54184 Å. Input: DFT lattice parameters and positions (GGA-PBE).
No peak broadening, texture or thermal motion is included.

Cell and atoms:
```
12
Lattice="3.5368 -6.1266 0.0000 3.5368 6.1266 0.0000 -2.3574 0.0000 7.7285" Properties=species:S:1:pos:R:3 pbc="T T T"
Rb 0.0000 0.0000 0.0000
Rb 3.5368 2.0326 0.0000
Rb 3.5368 -2.0326 0.0000
Tb 2.3582 0.0000 3.8642
U 2.3582 4.0835 3.8642
U 2.3582 -4.0835 3.8642
S 1.1738 2.0510 2.3682
S -0.0103 0.0000 5.3589
S 1.1738 -2.0510 2.3682
S 3.5425 2.0510 5.3602
S 4.7266 0.0000 2.3696
S 3.5425 -2.0510 5.3602
```

The 12 most intense peaks (10° ≤ 2θ ≤ 90°), low angle first:
d [Å]	I/Imax
7.728	47
3.864	28
3.497	13
3.383	54
3.019	100
2.242	38
2.042	34
1.939	16
1.805	22
1.692	18
1.403	15
1.303	15

# Pu3Th5Sb8
Computed PXRD pattern, Cu Kα, 1.54184 Å. Input: DFT lattice parameters and positions (GGA-PBE).
No peak broadening, texture or thermal motion is included.

Cell and atoms:
```
16
Lattice="4.4914 2.5931 7.3158 -4.4914 2.5931 7.3158 0.0000 -5.1862 7.3158" Properties=species:S:1:pos:R:3 pbc="T T T"
Pu -2.2457 -1.2966 7.3158
Pu -2.2457 1.2965 14.6316
Pu 0.0000 2.5931 7.3158
Th 0.0000 0.0000 0.0000
Th -4.4914 0.0000 10.9737
Th -2.2457 1.2965 3.6579
Th 2.2457 1.2966 3.6579
Th 0.0000 0.0000 10.9737
Sb 0.0000 -2.5770 9.1211
Sb -2.2317 1.2885 9.1211
Sb 0.0000 0.0000 5.5205
Sb -2.2317 -1.2885 12.8263
Sb 2.2317 1.2885 9.1211
Sb 0.0000 0.0000 16.4269
Sb 2.2317 -1.2885 12.8263
Sb 0.0000 2.5770 12.8263
```

The 12 most intense peaks (10° ≤ 2θ ≤ 90°), low angle first:
d [Å]	I/Imax
3.664	17
3.173	100
2.244	78
1.914	10
1.833	21
1.829	7
1.587	13
1.420	18
1.418	18
1.296	21
1.294	7
1.123	5

# UAl7GaFe4
Computed PXRD pattern, Cu Kα, 1.54184 Å. Input: DFT lattice parameters and positions (GGA-PBE).
No peak broadening, texture or thermal motion is included.

Cell and atoms:
```
13
Lattice="-2.5495 4.3681 4.3625 2.5495 -4.3681 4.3625 2.5495 4.3681 -4.3625" Properties=species:S:1:pos:R:3 pbc="T T T"
U 0.0000 0.0000 0.0000
Al 2.5495 -1.2757 4.3399
Al 0.0000 0.0000 3.1269
Al 1.2719 2.1685 2.1539
Al 3.8270 2.1685 2.1539
Al 2.5495 1.2757 4.3399
Al -1.2776 2.1997 6.5164
Al 1.2776 2.1997 6.5164
Ga 0.0000 0.0000 5.6395
Fe 2.5495 1.6052 -0.0346
Fe 2.5495 0.0000 2.0023
Fe 0.0000 4.3681 2.4368
Fe 0.0000 2.7630 4.3278
```

The 12 most intense peaks (10° ≤ 2θ ≤ 90°), low angle first:
d [Å]	I/Imax
6.173	54
4.403	14
4.367	25
3.100	57
2.760	19
2.549	21
2.528	37
2.202	37
2.187	100
2.181	14
1.652	15
1.391	20

# AlAg2Au
Computed PXRD pattern, Cu Kα, 1.54184 Å. Input: DFT lattice parameters and positions (GGA-PBE).
No peak broadening, texture or thermal motion is included.

Cell and atoms:
```
4
Lattice="3.2187 0.0000 0.0000 0.0000 3.2187 0.0000 0.0000 0.0000 6.6574" Properties=species:S:1:pos:R:3 pbc="T T T"
Al 0.0000 0.0000 0.0000
Ag 0.0000 0.0000 3.2661
Ag 1.6094 1.6094 5.0549
Au 1.6094 1.6094 1.4014
```

The 12 most intense peaks (10° ≤ 2θ ≤ 90°), low angle first:
d [Å]	I/Imax
6.657	13
3.329	9
3.219	19
2.898	25
2.314	100
2.276	51
1.879	8
1.609	17
1.589	9
1.343	14
1.321	33
1.157	9